Structure and theoretical powder diffraction line list of Ba3Ag2Pb3 (a PBE-relaxed structure; copper Kα).
Lines closer than 0.1° are merged.

Structure:
Lattice parameters (Å, degrees): 6.650 6.650 17.498 90.00 90.00 133.97
Element x y z (fractional)
Ba  0.101  0.899  0.609
Ba  0.101  0.899  0.891
Ba  0.380  0.620  0.750
Ba  0.620  0.380  0.250
Ba  0.899  0.101  0.109
Ba  0.899  0.101  0.391
Ag  0.198  0.802  0.102
Ag  0.198  0.802  0.398
Ag  0.802  0.198  0.602
Ag  0.802  0.198  0.898
Pb  0.323  0.677  0.250
Pb  0.382  0.618  0.536
Pb  0.382  0.618  0.964
Pb  0.618  0.382  0.036
Pb  0.618  0.382  0.464
Pb  0.677  0.323  0.750

Top 10 peaks for 10 to 90 degrees two-theta, sorted by position:
d = 3.229 Å, I 100; d = 3.157 Å, I 47; d = 3.060 Å, I 31; d = 2.812 Å, I 28; d = 2.710 Å, I 21; d = 2.600 Å, I 54; d = 2.588 Å, I 64; d = 2.215 Å, I 23; d = 1.981 Å, I 18; d = 1.498 Å, I 20